CeNdSm2Er5: computed powder XRD pattern (Cu Ka), based on a structure optimized by DFT (PBE).
Peak positions follow from Bragg's law for the DFT cell and can differ from measured ones.

Peak list (10 most intense, 2θ = 5–70°, in order of falling intensity)
2θ/deg	intensity	index
31.15	100	2 0 4
28.90	61	2 1 3
29.12	50	2 2 0
43.40	22	4 0 2
32.65	18	3 1 0
52.92	18	4 2 4
37.86	18	3 2 1
46.70	14	4 1 3
37.40	14	2 1 5
47.46	13	0 0 8

```
data_CeNdSm2Er5
_cell_length_a 8.673
_cell_length_b 8.673
_cell_length_c 15.324
_cell_angle_alpha 90.00
_cell_angle_beta 90.00
_cell_angle_gamma 90.00
_symmetry_space_group_name_H-M 'I 4/m c m'
_symmetry_Int_Tables_number 140
_symmetry_space_group_name_Hall '-I 4 2c'
loop_
_atom_site_label
_atom_site_fract_x
_atom_site_fract_y
_atom_site_fract_z
Ce1 0.000 0.500 0.250
Nd1 0.000 0.000 0.250
Sm1 0.119 0.381 0.000
Er1 0.000 0.000 0.000
Er2 0.203 0.297 0.363
```


Tb2CeNdEr5: computed powder XRD pattern (Cu Ka), based on a structure optimized by DFT (PBE).
Peak positions follow from Bragg's law for the DFT cell and can differ from measured ones.

Peak list (10 most intense, 2θ = 5–70°, in order of falling intensity)
2θ/deg	intensity	index
32.20	100	1 5 2
32.50	66	1 1 3
31.57	61	2 0 0
34.62	45	1 7 1
56.61	26	3 5 2
26.66	25	0 6 1
41.78	15	2 6 1
64.30	14	2 6 5
56.81	14	3 1 3
27.42	13	1 3 2

```
data_Tb2CeNdEr5
_cell_length_a 5.668
_cell_length_b 21.417
_cell_length_c 9.560
_cell_angle_alpha 90.00
_cell_angle_beta 90.00
_cell_angle_gamma 90.00
_symmetry_space_group_name_H-M 'C m c 21'
_symmetry_Int_Tables_number 36
loop_
_symmetry_equiv_pos_as_xyz
'x,y,z'
'-x,-y,z+1/2'
'-x,y,z'
'x,-y,z+1/2'
'x+1/2,y+1/2,z'
'-x+1/2,-y+1/2,z+1/2'
'-x+1/2,y+1/2,z'
'x+1/2,-y+1/2,z+1/2'
loop_
_atom_site_label
_atom_site_fract_x
_atom_site_fract_y
_atom_site_fract_z
Tb1 0.000 0.113 0.000
Tb2 0.000 0.139 0.381
Ce1 0.000 0.197 0.701
Nd1 0.000 0.403 0.102
Er1 0.000 0.013 0.694
Er2 0.000 0.266 0.015
Er3 0.000 0.308 0.397
Er4 0.000 0.395 0.718
Er5 0.000 0.472 0.423
```


Tb4CeNdEr2: computed powder XRD pattern (Cu Ka), based on a structure optimized by DFT (PBE).
Peak positions follow from Bragg's law for the DFT cell and can differ from measured ones.

Peak list (5 most intense, 2θ = 5–70°, in order of falling intensity)
2θ/deg	intensity	index
30.77	100	1 1 2
35.67	51	2 0 0
61.06	43	3 1 2
51.34	36	2 2 0
64.09	12	2 2 4

```
data_Tb4CeNdEr2
_cell_length_a 5.037
_cell_length_b 5.037
_cell_length_c 10.054
_cell_angle_alpha 90.00
_cell_angle_beta 90.00
_cell_angle_gamma 90.00
_symmetry_space_group_name_H-M 'P 4/m m m'
_symmetry_Int_Tables_number 123
_symmetry_space_group_name_Hall '-P 4 2'
loop_
_atom_site_label
_atom_site_fract_x
_atom_site_fract_y
_atom_site_fract_z
Tb1 0.000 0.500 0.247
Ce1 0.000 0.000 0.000
Nd1 0.500 0.500 0.500
Er1 0.000 0.000 0.500
Er2 0.500 0.500 0.000
```


CeNdEr4Tm2: computed powder XRD pattern (Cu Ka), based on a structure optimized by DFT (PBE).
Peak positions follow from Bragg's law for the DFT cell and can differ from measured ones.

Peak list (10 most intense, 2θ = 5–70°, in order of falling intensity)
2θ/deg	intensity	index
31.05	100	1 1 2
51.91	24	2 0 4
35.85	17	0 2 0
35.97	17	2 0 0
36.20	17	0 0 4
61.46	14	1 3 2
61.62	14	3 1 2
61.93	14	1 1 6
64.74	12	2 2 4
51.70	12	2 2 0

```
data_CeNdEr4Tm2
_cell_length_a 4.994
_cell_length_b 5.009
_cell_length_c 9.926
_cell_angle_alpha 90.00
_cell_angle_beta 90.00
_cell_angle_gamma 90.00
_symmetry_space_group_name_H-M 'P m m m'
_symmetry_Int_Tables_number 47
loop_
_symmetry_equiv_pos_as_xyz
'x,y,z'
'-x,-y,-z'
'-x,-y,z'
'x,y,-z'
'x,-y,-z'
'-x,y,z'
'-x,y,-z'
'x,-y,z'
loop_
_atom_site_label
_atom_site_fract_x
_atom_site_fract_y
_atom_site_fract_z
Ce1 0.000 0.000 0.000
Nd1 0.500 0.500 0.500
Er1 0.000 0.500 0.246
Er2 0.500 0.000 0.247
Tm1 0.000 0.000 0.500
Tm2 0.500 0.500 0.000
```


CeEr3Ni8: computed powder XRD pattern (Cu Ka), based on a structure optimized by DFT (PBE).
Peak positions follow from Bragg's law for the DFT cell and can differ from measured ones.

Peak list (7 most intense, 2θ = 5–70°, in order of falling intensity)
2θ/deg	intensity	index
41.95	100	1 1 6
35.55	63	1 1 0
68.22	30	2 0 14
63.84	23	3 0 0
43.91	16	0 0 12
21.55	13	0 0 6
56.13	3	0 1 14

```
data_CeEr3Ni8
_cell_length_a 5.0531
_cell_length_b 5.0531
_cell_length_c 24.7230
_cell_angle_alpha 90.00
_cell_angle_beta 90.00
_cell_angle_gamma 120.00
_symmetry_space_group_name_H-M 'R 3 m'
_symmetry_Int_Tables_number 160
_symmetry_space_group_name_Hall 'R 3 -2"'
loop_
_atom_site_label
_atom_site_fract_x
_atom_site_fract_y
_atom_site_fract_z
Ce1 0.0000 0.0000 0.0000
Er1 0.0000 0.0000 0.1263
Er2 0.0000 0.0000 0.5013
Er3 0.0000 0.0000 0.6258
Ni1 0.0000 0.0000 0.3135
Ni2 0.0000 0.0000 0.8134
Ni3 0.0002 0.5001 0.0640
Ni4 0.1675 0.3350 0.8964
```


CeErPO2: computed powder XRD pattern (Cu Ka), based on a structure optimized by DFT (PBE).
Peak positions follow from Bragg's law for the DFT cell and can differ from measured ones.

Peak list (10 most intense, 2θ = 5–70°, in order of falling intensity)
2θ/deg	intensity	index
28.15	100	0 2 2
34.81	81	1 1 2
29.73	51	0 4 0
27.74	39	1 1 1
48.81	38	2 0 0
34.99	38	1 3 1
51.42	37	1 5 2
24.98	34	1 1 0
58.20	32	0 4 4
57.29	29	2 2 2

```
data_CeErPO2
_cell_length_a 3.732
_cell_length_b 12.021
_cell_length_c 7.462
_cell_angle_alpha 90.00
_cell_angle_beta 90.00
_cell_angle_gamma 90.00
_symmetry_space_group_name_H-M 'C m c m'
_symmetry_Int_Tables_number 63
_symmetry_space_group_name_Hall '-C 2c 2'
loop_
_atom_site_label
_atom_site_fract_x
_atom_site_fract_y
_atom_site_fract_z
Ce1 0.000 0.230 0.250
Er1 0.000 0.500 0.000
P1 0.000 0.054 0.750
O1 0.000 0.322 0.574
```


CeErPtO6: computed powder XRD pattern (Cu Ka), based on a structure optimized by DFT (PBE).
Peak positions follow from Bragg's law for the DFT cell and can differ from measured ones.

Peak list (10 most intense, 2θ = 5–70°, in order of falling intensity)
2θ/deg	intensity	index
25.26	100	1 1 0
31.98	91	1 0 3
48.93	70	2 1 3
36.02	27	2 0 0
62.24	20	3 0 3
60.75	17	1 1 6
58.54	17	3 1 0
51.86	16	2 2 0
66.86	10	2 0 6
54.26	8	0 0 6

```
data_CeErPtO6
_cell_length_a 4.986
_cell_length_b 4.986
_cell_length_c 10.144
_cell_angle_alpha 90.00
_cell_angle_beta 90.00
_cell_angle_gamma 90.00
_symmetry_space_group_name_H-M 'P 42 n m'
_symmetry_Int_Tables_number 102
loop_
_symmetry_equiv_pos_as_xyz
'x,y,z'
'-y+1/2,x+1/2,z+1/2'
'-x,-y,z'
'y+1/2,-x+1/2,z+1/2'
'-x+1/2,y+1/2,z+1/2'
'y,x,z'
'x+1/2,-y+1/2,z+1/2'
'-y,-x,z'
loop_
_atom_site_label
_atom_site_fract_x
_atom_site_fract_y
_atom_site_fract_z
Ce1 0.000 0.000 0.000
Er1 0.000 0.000 0.663
Pt1 0.000 0.000 0.331
O1 0.186 0.186 0.481
O2 0.187 0.187 0.181
O3 0.215 0.215 0.830
```


CeErTlO2: computed powder XRD pattern (Cu Ka), based on a structure optimized by DFT (PBE).
Peak positions follow from Bragg's law for the DFT cell and can differ from measured ones.

Peak list (10 most intense, 2θ = 5–70°, in order of falling intensity)
2θ/deg	intensity	index
30.39	100	1 0 3
32.35	37	1 1 0
56.48	35	2 1 3
52.73	24	1 1 6
46.40	18	2 0 0
63.23	11	2 0 6
40.47	10	0 0 6
67.41	10	1 0 9
67.71	6	2 2 0
35.09	2	1 1 2

```
data_CeErTlO2
_cell_length_a 3.914
_cell_length_b 3.914
_cell_length_c 13.373
_cell_angle_alpha 90.00
_cell_angle_beta 90.00
_cell_angle_gamma 90.00
_symmetry_space_group_name_H-M 'I 4 m m'
_symmetry_Int_Tables_number 107
_symmetry_space_group_name_Hall 'I 4 -2'
loop_
_atom_site_label
_atom_site_fract_x
_atom_site_fract_y
_atom_site_fract_z
Ce1 0.000 0.000 0.000
Er1 0.000 0.000 0.671
Tl1 0.000 0.000 0.342
O1 0.000 0.500 0.091
```


Tb3CeEr2P6: computed powder XRD pattern (Cu Ka), based on a structure optimized by DFT (PBE).
Peak positions follow from Bragg's law for the DFT cell and can differ from measured ones.

Peak list (7 most intense, 2θ = 5–70°, in order of falling intensity)
2θ/deg	intensity	index
31.52	100	1 3 1
27.21	86	2 0 0
45.18	73	2 0 2
53.55	31	3 3 1
56.13	25	4 0 0
65.81	12	2 6 2
53.51	10	1 3 3

```
data_Tb3CeEr2P6
_cell_length_a 6.950
_cell_length_b 12.036
_cell_length_c 6.958
_cell_angle_alpha 90.00
_cell_angle_beta 109.45
_cell_angle_gamma 90.00
_symmetry_space_group_name_H-M 'C 1 2/m 1'
_symmetry_Int_Tables_number 12
loop_
_symmetry_equiv_pos_as_xyz
'x,y,z'
'-x,-y,-z'
'-x,y,-z'
'x,-y,z'
'x+1/2,y+1/2,z'
'-x+1/2,-y+1/2,-z'
'-x+1/2,y+1/2,-z'
'x+1/2,-y+1/2,z'
loop_
_atom_site_label
_atom_site_fract_x
_atom_site_fract_y
_atom_site_fract_z
Tb1 0.000 0.000 0.000
Tb2 0.000 0.334 0.000
Ce1 0.000 0.500 0.500
Er1 0.000 0.167 0.500
P1 0.248 0.000 0.746
P2 0.250 0.167 0.252
```


Ce3ErTm2P6: computed powder XRD pattern (Cu Ka), based on a structure optimized by DFT (PBE).
Peak positions follow from Bragg's law for the DFT cell and can differ from measured ones.

Peak list (10 most intense, 2θ = 5–70°, in order of falling intensity)
2θ/deg	intensity	index
31.48	100	1 3 1
27.17	84	2 0 0
45.05	37	0 6 0
45.17	36	2 0 2
53.43	31	3 3 1
55.99	19	4 0 0
65.70	12	2 6 2
53.55	10	1 3 3
56.20	6	0 0 4
13.52	2	0 0 1

```
data_Ce3ErTm2P6
_cell_length_a 6.970
_cell_length_b 12.075
_cell_length_c 6.948
_cell_angle_alpha 90.00
_cell_angle_beta 109.54
_cell_angle_gamma 90.00
_symmetry_space_group_name_H-M 'C 1 2/m 1'
_symmetry_Int_Tables_number 12
loop_
_symmetry_equiv_pos_as_xyz
'x,y,z'
'-x,-y,-z'
'-x,y,-z'
'x,-y,z'
'x+1/2,y+1/2,z'
'-x+1/2,-y+1/2,-z'
'-x+1/2,y+1/2,-z'
'x+1/2,-y+1/2,z'
loop_
_atom_site_label
_atom_site_fract_x
_atom_site_fract_y
_atom_site_fract_z
Ce1 0.000 0.000 0.000
Ce2 0.000 0.333 0.000
Er1 0.000 0.500 0.500
Tm1 0.000 0.167 0.500
P1 0.247 0.000 0.743
P2 0.248 0.333 0.743
```


Ce2ErTmP4: computed powder XRD pattern (Cu Ka), based on a structure optimized by DFT (PBE).
Peak positions follow from Bragg's law for the DFT cell and can differ from measured ones.

Peak list (10 most intense, 2θ = 5–70°, in order of falling intensity)
2θ/deg	intensity	index
31.46	100	1 1 1
27.16	84	2 0 0
45.03	37	0 2 0
45.15	36	2 0 2
53.40	31	2 2 0
55.96	19	0 0 4
65.67	12	2 2 2
53.53	10	3 1 1
56.17	6	4 0 0
13.52	2	1 0 0

```
data_Ce2ErTmP4
_cell_length_a 6.951
_cell_length_b 4.027
_cell_length_c 6.974
_cell_angle_alpha 90.00
_cell_angle_beta 109.54
_cell_angle_gamma 90.00
_symmetry_space_group_name_H-M 'P 1 2/m 1'
_symmetry_Int_Tables_number 10
loop_
_symmetry_equiv_pos_as_xyz
'x,y,z'
'-x,-y,-z'
'-x,y,-z'
'x,-y,z'
loop_
_atom_site_label
_atom_site_fract_x
_atom_site_fract_y
_atom_site_fract_z
Ce1 0.000 0.000 0.000
Ce2 0.000 0.500 0.500
Er1 0.500 0.000 0.500
Tm1 0.500 0.500 0.000
P1 0.256 0.500 0.251
P2 0.257 0.000 0.753
```


CeEr2PaS4: computed powder XRD pattern (Cu Ka), based on a structure optimized by DFT (PBE).
Peak positions follow from Bragg's law for the DFT cell and can differ from measured ones.

Peak list (10 most intense, 2θ = 5–70°, in order of falling intensity)
2θ/deg	intensity	index
32.41	100	1 1 1
28.18	65	2 0 0
45.93	37	2 0 2
47.03	35	0 2 0
27.33	23	0 0 2
55.29	14	0 2 2
58.33	12	2 2 -2
67.85	12	2 2 2
54.27	11	1 1 3
55.73	10	2 2 0

```
data_CeEr2PaS4
_cell_length_a 6.700
_cell_length_b 3.860
_cell_length_c 6.895
_cell_angle_alpha 90.00
_cell_angle_beta 108.78
_cell_angle_gamma 90.00
_symmetry_space_group_name_H-M 'P 1 2/m 1'
_symmetry_Int_Tables_number 10
loop_
_symmetry_equiv_pos_as_xyz
'x,y,z'
'-x,-y,-z'
'-x,y,-z'
'x,-y,z'
loop_
_atom_site_label
_atom_site_fract_x
_atom_site_fract_y
_atom_site_fract_z
Ce1 0.000 0.000 0.000
Er1 0.000 0.500 0.500
Er2 0.500 0.000 0.500
Pa1 0.500 0.500 0.000
S1 0.250 0.000 0.740
S2 0.258 0.500 0.263
```


CeEr2Pa2Tc2: computed powder XRD pattern (Cu Ka), based on a structure optimized by DFT (PBE).
Peak positions follow from Bragg's law for the DFT cell and can differ from measured ones.

Peak list (10 most intense, 2θ = 5–70°, in order of falling intensity)
2θ/deg	intensity	index
34.15	100	0 1 7
33.41	46	1 1 0
26.51	36	1 0 1
38.10	35	1 0 7
41.34	31	0 2 0
65.42	31	2 1 7
28.74	24	1 0 3
36.98	23	1 1 4
57.47	22	1 2 7
46.29	19	1 1 8

```
data_CeEr2Pa2Tc2
_cell_length_a 3.398
_cell_length_b 4.368
_cell_length_c 23.001
_cell_angle_alpha 90.00
_cell_angle_beta 90.00
_cell_angle_gamma 90.00
_symmetry_space_group_name_H-M 'I m m m'
_symmetry_Int_Tables_number 71
_symmetry_space_group_name_Hall '-I 2 2'
loop_
_atom_site_label
_atom_site_fract_x
_atom_site_fract_y
_atom_site_fract_z
Ce1 0.000 0.000 0.000
Er1 0.000 0.000 0.286
Pa1 0.000 0.000 0.426
Tc1 0.000 0.500 0.369
```